Entry 1:
# Cu6AgPt3
Simulated X-ray diffraction stick pattern, Cu Ka. Input: the PBE geometry in Alexandria.
Kinematic intensities with the Lorentz-polarization factor, no thermal factor.

The 8 most intense peaks (15° ≤ 2θ ≤ 90°), most intense first:
41.15 deg, intensity 100.0
46.58 deg, intensity 17.8
46.81 deg, intensity 16.7
50.20 deg, intensity 14.9
24.49 deg, intensity 13.3
32.55 deg, intensity 13.1
82.67 deg, intensity 13.1
83.00 deg, intensity 11.6

Structural model:
abc: 8.243 3.899 8.570
angles: 90.00 93.04 90.00
Fractional positions:
Cu: 0.049 0.250 0.407
Cu: 0.148 0.750 0.210
Cu: 0.153 0.250 0.700
Cu: 0.255 0.250 0.998
Cu: 0.354 0.750 0.800
Cu: 0.450 0.250 0.602
Cu: 0.550 0.750 0.398
Cu: 0.646 0.250 0.200
Cu: 0.745 0.750 0.002
Cu: 0.847 0.750 0.300
Cu: 0.852 0.250 0.790
Cu: 0.951 0.750 0.593
Ag: 0.053 0.750 0.895
Ag: 0.947 0.250 0.105
Pt: 0.246 0.750 0.512
Pt: 0.345 0.250 0.303
Pt: 0.446 0.750 0.101
Pt: 0.554 0.250 0.899
Pt: 0.655 0.750 0.697
Pt: 0.754 0.250 0.488

Entry 2:
# YZn2F8
Simulated X-ray diffraction stick pattern, Cu Ka. Input: the PBE geometry in Alexandria.
Kinematic intensities with the Lorentz-polarization factor, no thermal factor.

The 8 most intense peaks (15° ≤ 2θ ≤ 90°), most intense first:
28.71 deg, intensity 100.0
18.31 deg, intensity 59.0
48.10 deg, intensity 45.6
56.06 deg, intensity 29.3
57.91 deg, intensity 20.1
37.82 deg, intensity 19.5
47.06 deg, intensity 19.2
45.29 deg, intensity 16.1

Structural model:
abc: 6.514 6.514 6.514
angles: 130.42 130.42 72.73
Fractional positions:
Y: 0.000 0.000 0.000
Zn: 0.250 0.750 0.500
Zn: 0.750 0.250 0.500
F: 0.039 0.574 0.865
F: 0.174 0.039 0.465
F: 0.291 0.426 0.465
F: 0.426 0.961 0.135
F: 0.574 0.709 0.535
F: 0.709 0.174 0.135
F: 0.826 0.291 0.865
F: 0.961 0.826 0.535

Entry 3:
# Pm2SmFe9
Simulated X-ray diffraction stick pattern, Cu Ka. Input: the PBE geometry in Alexandria.
Kinematic intensities with the Lorentz-polarization factor, no thermal factor.

The 8 most intense peaks (15° ≤ 2θ ≤ 90°), most intense first:
41.25 deg, intensity 100.0
34.72 deg, intensity 53.9
32.30 deg, intensity 49.8
40.48 deg, intensity 38.6
35.31 deg, intensity 34.9
66.68 deg, intensity 22.7
73.27 deg, intensity 21.0
60.71 deg, intensity 16.0

Structural model:
abc: 8.759 8.759 8.759
angles: 34.32 34.32 34.32
Fractional positions:
Pm: 0.142 0.142 0.142
Pm: 0.858 0.858 0.858
Sm: 0.000 0.000 0.000
Fe: 0.084 0.578 0.578
Fe: 0.333 0.333 0.333
Fe: 0.422 0.422 0.916
Fe: 0.422 0.916 0.422
Fe: 0.500 0.500 0.500
Fe: 0.578 0.084 0.578
Fe: 0.578 0.578 0.084
Fe: 0.667 0.667 0.667
Fe: 0.916 0.422 0.422

Entry 4:
# Pm2PrRu
Simulated X-ray diffraction stick pattern, Cu Ka. Input: the PBE geometry in Alexandria.
Kinematic intensities with the Lorentz-polarization factor, no thermal factor.

The 8 most intense peaks (15° ≤ 2θ ≤ 90°), most intense first:
32.69 deg, intensity 100.0
31.60 deg, intensity 96.6
30.12 deg, intensity 80.0
36.88 deg, intensity 53.5
31.28 deg, intensity 46.8
56.58 deg, intensity 43.2
45.64 deg, intensity 32.0
48.13 deg, intensity 27.8

Structural model:
abc: 3.975 12.349 9.560
angles: 90.00 90.00 90.00
Fractional positions:
Pm: 0.000 0.143 0.070
Pm: 0.000 0.143 0.430
Pm: 0.000 0.857 0.570
Pm: 0.000 0.857 0.930
Pm: 0.500 0.357 0.570
Pm: 0.500 0.357 0.930
Pm: 0.500 0.643 0.070
Pm: 0.500 0.643 0.430
Pr: 0.000 0.420 0.250
Pr: 0.000 0.580 0.750
Pr: 0.500 0.080 0.750
Pr: 0.500 0.920 0.250
Ru: 0.000 0.250 0.750
Ru: 0.000 0.750 0.250
Ru: 0.500 0.250 0.250
Ru: 0.500 0.750 0.750

Entry 5:
# Sm4TlBi3O12
Simulated X-ray diffraction stick pattern, Cu Ka. Input: the PBE geometry in Alexandria.
Kinematic intensities with the Lorentz-polarization factor, no thermal factor.

The 8 most intense peaks (15° ≤ 2θ ≤ 90°), most intense first:
28.82 deg, intensity 100.0
51.06 deg, intensity 48.2
82.35 deg, intensity 23.0
41.21 deg, intensity 22.6
67.62 deg, intensity 19.5
59.69 deg, intensity 14.2
75.11 deg, intensity 5.0
89.47 deg, intensity 2.4

Structural model:
abc: 7.589 7.589 7.589
angles: 109.47 109.47 109.47
Fractional positions:
Sm: 0.000 0.000 0.500
Sm: 0.000 0.500 0.000
Sm: 0.500 0.000 0.000
Sm: 0.500 0.500 0.500
Tl: 0.000 0.000 0.000
Bi: 0.000 0.500 0.500
Bi: 0.500 0.000 0.500
Bi: 0.500 0.500 0.000
O: 0.135 0.319 0.816
O: 0.184 0.502 0.319
O: 0.184 0.865 0.681
O: 0.319 0.184 0.502
O: 0.319 0.816 0.135
O: 0.498 0.681 0.816
O: 0.502 0.319 0.184
O: 0.681 0.184 0.865
O: 0.681 0.816 0.498
O: 0.816 0.135 0.319
O: 0.816 0.498 0.681
O: 0.865 0.681 0.184

Entry 6:
# Zr6FeRh5
Simulated X-ray diffraction stick pattern, Cu Ka. Input: the PBE geometry in Alexandria.
Kinematic intensities with the Lorentz-polarization factor, no thermal factor.

The 7 most intense peaks (15° ≤ 2θ ≤ 90°), most intense first:
38.77 deg, intensity 100.0
70.15 deg, intensity 22.0
56.03 deg, intensity 11.1
70.25 deg, intensity 10.9
83.16 deg, intensity 8.6
55.92 deg, intensity 5.6
83.32 deg, intensity 1.7

Structural model:
abc: 7.336 7.336 6.577
angles: 90.00 90.00 143.08
Fractional positions:
Zr: 0.000 0.000 0.246
Zr: 0.000 0.000 0.754
Zr: 0.336 0.664 0.248
Zr: 0.336 0.664 0.752
Zr: 0.664 0.336 0.248
Zr: 0.664 0.336 0.752
Fe: 0.500 0.500 0.000
Rh: 0.168 0.832 0.000
Rh: 0.168 0.832 0.500
Rh: 0.500 0.500 0.500
Rh: 0.832 0.168 0.000
Rh: 0.832 0.168 0.500